# NaLi2Cd2Hg2
Theoretical X-ray powder pattern, Cu Kα (weighted mean of Kα1 and Kα2). Input: DFT lattice parameters and positions (PBE).
Intensities are scaled so that the largest is 1000.

Structure:
```
data_NaLi2Cd2Hg2
_chemical_formula_sum 'Na3 Li6 Cd6 Hg6'
_space_group_name_H-M_alt 'R -3 m'
_space_group_IT_number 166
_space_group_name_Hall '-R 3 2"'
_cell_length_a 4.9176
_cell_length_b 4.9176
_cell_length_c 21.1117
_cell_angle_alpha 90.00
_cell_angle_beta 90.00
_cell_angle_gamma 120.00
loop_
_atom_site_label
_atom_site_type_symbol
_atom_site_fract_x
_atom_site_fract_y
_atom_site_fract_z
Na1 Na 0.0000 0.0000 0.0000
Li1 Li 0.0000 0.0000 0.1431
Cd1 Cd 0.0000 0.0000 0.2777
Hg1 Hg 0.0000 0.0000 0.4284
```

Most intense lines, 10° ≤ 2θ ≤ 80°, sorted by position:
h k l, 2θ/deg, I_rel
1 0 1, 21.3, 602
0 0 6, 25.3, 196
1 1 0, 36.5, 1000
1 1 6, 45.0, 258
0 2 7, 52.6, 171
3 0 0, 65.7, 340